SbC2: simulated powder XRD pattern (Cu Kα (λ = 1.5418 Å)), based on a crystal structure in Alexandria, relaxed with GGA-PBE.

Peak list (12 most intense, 2θ from 5° to 70°, by intensity)
2θ/deg  I/Imax  hkl
26.94  100.0  1 1 0
34.03  87.3  1 0 1
31.43  60.3  0 1 1
48.64  55.8  1 2 1
33.70  43.1  0 2 0
54.04  37.0  2 1 1
61.79  20.3  1 1 2
42.78  17.8  2 0 0
55.53  16.5  2 2 0
56.26  15.7  1 3 0
58.86  13.6  0 3 1
54.47  11.5  0 0 2

Crystal structure
a b c (Å): 4.228 5.319 3.369
angles (deg): 90.00 90.00 90.00
Atoms (fractional coordinates):
Sb  0.000  0.000  0.000
Sb  0.500  0.500  0.500
C  0.131  0.422  0.000
C  0.369  0.922  0.500
C  0.631  0.078  0.500
C  0.869  0.578  0.000